Calculated PXRD pattern of Ba6Na2V2Sb2O17 for a wavelength of 1.5418 Å, from DFT lattice parameters and positions (PBE+U).
Neutral-atom scattering factors, no anomalous dispersion.

Crystal structure
```
data_Ba6Na2V2Sb2O17
_chemical_formula_sum 'Ba12 Na4 V4 Sb4 O34'
_space_group_name_H-M_alt 'P 1'
_space_group_IT_number 1
_cell_length_a 6.0040
_cell_length_b 6.0040
_cell_length_c 30.4220
_cell_angle_alpha 90.00
_cell_angle_beta 90.00
_cell_angle_gamma 120.00
loop_
_space_group_symop_operation_xyz
'x,y,z'
loop_
_atom_site_label
_atom_site_fract_x
_atom_site_fract_y
_atom_site_fract_z
Ba1 0.0000 0.0000 0.0000
Ba2 0.0000 0.0000 0.2500
Ba3 0.0000 0.0000 0.5000
Ba4 0.0000 0.0000 0.7500
Ba5 0.3333 0.6667 0.0910
Ba6 0.3333 0.6667 0.4090
Ba7 0.3333 0.6667 0.6768
Ba8 0.3333 0.6667 0.8232
Ba9 0.6667 0.3333 0.1768
Ba10 0.6667 0.3333 0.3232
Ba11 0.6667 0.3333 0.5910
Ba12 0.6667 0.3333 0.9090
Na1 0.0000 0.0000 0.1241
Na2 0.0000 0.0000 0.3759
Na3 0.0000 0.0000 0.6241
Na4 0.0000 0.0000 0.8759
V1 0.3333 0.6667 0.5516
V2 0.3333 0.6667 0.9484
V3 0.6667 0.3333 0.0516
V4 0.6667 0.3333 0.4484
Sb1 0.3333 0.6667 0.2023
Sb2 0.3333 0.6667 0.2977
Sb3 0.6667 0.3333 0.7023
Sb4 0.6667 0.3333 0.7977
O1 0.0367 0.5184 0.2500
O2 0.1730 0.3459 0.1695
O3 0.1730 0.3459 0.3305
O4 0.1730 0.8270 0.1695
O5 0.1730 0.8270 0.3305
O6 0.1760 0.3519 0.5719
O7 0.1760 0.3519 0.9281
O8 0.1760 0.8240 0.5719
O9 0.1760 0.8240 0.9281
O10 0.3333 0.6667 0.0051
O11 0.3333 0.6667 0.4949
O12 0.3459 0.1730 0.6695
O13 0.3459 0.1730 0.8305
O14 0.3519 0.1760 0.0719
O15 0.3519 0.1760 0.4281
O16 0.4816 0.5184 0.2500
O17 0.4816 0.9633 0.2500
O18 0.5184 0.0367 0.7500
O19 0.5184 0.4816 0.7500
O20 0.6481 0.8240 0.5719
O21 0.6481 0.8240 0.9281
O22 0.6541 0.8270 0.1695
O23 0.6541 0.8270 0.3305
O24 0.6667 0.3333 0.5051
O25 0.6667 0.3333 0.9949
O26 0.8240 0.1760 0.0719
O27 0.8240 0.1760 0.4281
O28 0.8240 0.6481 0.0719
O29 0.8240 0.6481 0.4281
O30 0.8270 0.1730 0.6695
O31 0.8270 0.1730 0.8305
O32 0.8270 0.6541 0.6695
O33 0.8270 0.6541 0.8305
O34 0.9633 0.4816 0.7500
```

Largest 6 diffraction maxima, sorted by position, 2θ from 10° to 90°:
(hkl)  two_theta  I (rel.)
1 0 4  20.69  20
1 0 7  26.73  23
1 0 8  29.09  45
1 1 0  29.76  100
2 0 8  42.10  27
3 0 0  52.82  19